Calculated X-ray diffraction stick pattern of Ba2BP2O8 for Cu Ka, from the GGA-PBE geometry in Alexandria.

The 6 most intense peaks (2θ from 10° to 90°), sorted by position:
3.683 Å, 24.2°, I 30
3.660 Å, 24.3°, I 53
3.290 Å, 27.1°, I 36
3.214 Å, 27.8°, I 100
2.730 Å, 32.8°, I 34
2.189 Å, 41.2°, I 51

Cell and atoms:
a b c (Å): 8.984 8.984 8.984
angles (deg): 131.60 131.60 70.87
Sites, in units of the cell vectors:
Ba 0.375 0.249 0.374
Ba 0.751 0.125 0.126
Ba 0.875 0.001 0.626
Ba 0.999 0.625 0.874
B 0.250 0.750 0.500
B 0.500 0.500 0.000
P 0.225 0.125 0.600
P 0.375 0.775 0.900
P 0.525 0.625 0.400
P 0.875 0.475 0.100
O 0.029 0.687 0.329
O 0.057 0.214 0.623
O 0.158 0.036 0.343
O 0.185 0.842 0.877
O 0.300 0.971 0.658
O 0.313 0.642 0.342
O 0.358 0.700 0.671
O 0.392 0.563 0.842
O 0.437 0.279 0.829
O 0.450 0.608 0.171
O 0.565 0.943 0.157
O 0.592 0.435 0.377
O 0.693 0.815 0.657
O 0.721 0.550 0.158
O 0.786 0.408 0.843
O 0.964 0.307 0.123



Calculated X-ray diffraction stick pattern of Pm4YMg for Cu Ka, from the GGA-PBE geometry in Alexandria.

The 6 most intense peaks (2θ from 10° to 90°), sorted by position:
2.915 Å, 30.7°, I 100
2.587 Å, 34.7°, I 38
2.412 Å, 37.3°, I 13
1.830 Å, 49.8°, I 13
1.764 Å, 51.8°, I 20
1.550 Å, 59.7°, I 30

Cell and atoms:
a b c (Å): 3.659 3.659 14.473
angles (deg): 90.00 90.00 90.00
Sites, in units of the cell vectors:
Pm 0.000 0.000 0.151
Pm 0.000 0.000 0.849
Pm 0.500 0.500 0.325
Pm 0.500 0.500 0.675
Y 0.000 0.000 0.500
Mg 0.500 0.500 0.000



Calculated X-ray diffraction stick pattern of U5Ir for Cu Ka, from the GGA-PBE geometry in Alexandria.

The 6 most intense peaks (2θ from 10° to 90°), sorted by position:
2.553 Å, 35.2°, I 32
2.538 Å, 35.4°, I 33
2.316 Å, 38.9°, I 100
1.800 Å, 50.7°, I 23
1.424 Å, 65.6°, I 21
1.418 Å, 65.8°, I 22

Cell and atoms:
a b c (Å): 8.068 8.068 3.024
angles (deg): 90.00 90.00 143.34
Sites, in units of the cell vectors:
U 0.000 0.000 0.000
U 0.158 0.842 0.500
U 0.329 0.671 0.000
U 0.671 0.329 0.000
U 0.842 0.158 0.500
Ir 0.500 0.500 0.500



Calculated X-ray diffraction stick pattern of Sr3Tl3Hg2 for Cu Ka, from the GGA-PBE geometry in Alexandria.

The 6 most intense peaks (2θ from 10° to 90°), sorted by position:
4.163 Å, 21.3°, I 45
3.136 Å, 28.5°, I 100
2.757 Å, 32.5°, I 95
2.536 Å, 35.4°, I 72
2.493 Å, 36.0°, I 60
2.159 Å, 41.8°, I 41

Cell and atoms:
a b c (Å): 6.586 6.586 17.096
angles (deg): 90.00 90.00 135.51
Sites, in units of the cell vectors:
Sr 0.086 0.914 0.606
Sr 0.086 0.914 0.894
Sr 0.352 0.648 0.750
Sr 0.648 0.352 0.250
Sr 0.914 0.086 0.106
Sr 0.914 0.086 0.394
Tl 0.368 0.632 0.250
Tl 0.380 0.620 0.537
Tl 0.380 0.620 0.963
Tl 0.620 0.380 0.037
Tl 0.620 0.380 0.463
Tl 0.632 0.368 0.750
Hg 0.207 0.793 0.111
Hg 0.207 0.793 0.389
Hg 0.793 0.207 0.611
Hg 0.793 0.207 0.889



Calculated X-ray diffraction stick pattern of Cs3Cr2I9 for Cu Ka, from the GGA-PBE geometry in Alexandria.

The 6 most intense peaks (2θ from 10° to 90°), sorted by position:
3.702 Å, 24.0°, I 23
3.515 Å, 25.3°, I 17
3.176 Å, 28.1°, I 100
2.549 Å, 35.2°, I 20
2.030 Å, 44.6°, I 22
1.780 Å, 51.3°, I 16

Cell and atoms:
a b c (Å): 10.987 10.987 10.987
angles (deg): 79.57 79.57 79.57
Sites, in units of the cell vectors:
Cs 0.089 0.750 0.411
Cs 0.250 0.589 0.911
Cs 0.411 0.089 0.750
Cs 0.589 0.911 0.250
Cs 0.750 0.411 0.089
Cs 0.911 0.250 0.589
Cr 0.169 0.169 0.169
Cr 0.331 0.331 0.331
Cr 0.669 0.669 0.669
Cr 0.831 0.831 0.831
I 0.059 0.897 0.734
I 0.097 0.403 0.250
I 0.103 0.266 0.941
I 0.234 0.397 0.559
I 0.250 0.097 0.403
I 0.266 0.941 0.103
I 0.397 0.559 0.234
I 0.403 0.250 0.097
I 0.441 0.766 0.603
I 0.559 0.234 0.397
I 0.597 0.750 0.903
I 0.603 0.441 0.766
I 0.734 0.059 0.897
I 0.750 0.903 0.597
I 0.766 0.603 0.441
I 0.897 0.734 0.059
I 0.903 0.597 0.750
I 0.941 0.103 0.266



Calculated X-ray diffraction stick pattern of LiNd2Mg8 for Cu Ka, from the GGA-PBE geometry in Alexandria.

The 6 most intense peaks (2θ from 10° to 90°), sorted by position:
8.024 Å, 11.0°, I 100
4.020 Å, 22.1°, I 43
3.433 Å, 26.0°, I 39
2.683 Å, 33.4°, I 62
2.663 Å, 33.7°, I 68
2.513 Å, 35.7°, I 32

Cell and atoms:
a b c (Å): 8.593 8.593 6.847
angles (deg): 101.91 101.91 34.01
Sites, in units of the cell vectors:
Li 0.000 0.000 0.000
Nd 0.280 0.280 0.341
Nd 0.720 0.720 0.659
Mg 0.088 0.088 0.428
Mg 0.156 0.156 0.881
Mg 0.353 0.353 0.857
Mg 0.476 0.476 0.268
Mg 0.524 0.524 0.732
Mg 0.647 0.647 0.143
Mg 0.844 0.844 0.119
Mg 0.912 0.912 0.572



Calculated X-ray diffraction stick pattern of KReIr4 for Cu Ka, from the GGA-PBE geometry in Alexandria.

The 6 most intense peaks (2θ from 10° to 90°), sorted by position:
4.281 Å, 20.8°, I 35
2.236 Å, 40.3°, I 100
2.140 Å, 42.2°, I 59
1.427 Å, 65.4°, I 32
1.311 Å, 72.1°, I 30
1.118 Å, 87.2°, I 23

Cell and atoms:
a b c (Å): 5.243 5.243 5.243
angles (deg): 60.00 60.00 60.00
Sites, in units of the cell vectors:
K 0.000 0.000 0.000
Re 0.750 0.750 0.750
Ir 0.375 0.375 0.375
Ir 0.375 0.375 0.875
Ir 0.375 0.875 0.375
Ir 0.875 0.375 0.375



Calculated X-ray diffraction stick pattern of Sm5InAu4 for Cu Ka, from the GGA-PBE geometry in Alexandria.

The 6 most intense peaks (2θ from 10° to 90°), sorted by position:
2.632 Å, 34.1°, I 100
2.593 Å, 34.6°, I 50
1.833 Å, 49.7°, I 18
1.528 Å, 60.6°, I 17
1.504 Å, 61.7°, I 36
1.316 Å, 71.7°, I 10

Cell and atoms:
a b c (Å): 3.667 3.667 18.906
angles (deg): 90.00 90.00 90.00
Sites, in units of the cell vectors:
Sm 0.000 0.000 0.000
Sm 0.000 0.000 0.195
Sm 0.000 0.000 0.389
Sm 0.000 0.000 0.611
Sm 0.000 0.000 0.805
In 0.500 0.500 0.500
Au 0.500 0.500 0.097
Au 0.500 0.500 0.294
Au 0.500 0.500 0.706
Au 0.500 0.500 0.903



Calculated X-ray diffraction stick pattern of U2Si4Pt3 for Cu Ka, from the GGA-PBE geometry in Alexandria.

The 6 most intense peaks (2θ from 10° to 90°), sorted by position:
3.237 Å, 27.6°, I 100
2.737 Å, 32.7°, I 88
2.582 Å, 34.7°, I 42
2.365 Å, 38.1°, I 75
2.315 Å, 38.9°, I 92
1.809 Å, 50.5°, I 30

Cell and atoms:
a b c (Å): 7.497 7.497 7.336
angles (deg): 90.00 90.00 133.10
Sites, in units of the cell vectors:
U 0.082 0.918 0.921
U 0.418 0.582 0.421
U 0.582 0.418 0.579
U 0.918 0.082 0.079
Si 0.180 0.820 0.522
Si 0.185 0.315 0.750
Si 0.315 0.185 0.250
Si 0.320 0.680 0.022
Si 0.680 0.320 0.978
Si 0.685 0.815 0.750
Si 0.815 0.685 0.250
Si 0.820 0.180 0.478
Pt 0.000 0.000 0.500
Pt 0.010 0.490 0.750
Pt 0.490 0.010 0.250
Pt 0.500 0.500 0.000
Pt 0.510 0.990 0.750
Pt 0.990 0.510 0.250